The following is a computed powder diffraction line list of BaHfSe2. It was derived from a crystal structure in Alexandria, relaxed with GGA-PBE, using λ = 1.5418 Å (Cu Kα).
Peak positions follow from Bragg's law for the DFT cell and can differ from measured ones.

Structural model:
a = 6.6827 Å, b = 6.6827 Å, c = 12.8570 Å
α = 90.00°, β = 90.00°, γ = 90.00°
Space group I-42d (No. 122)
Asymmetric unit:
Ba (0.0000, 0.0000, 0.0000) x4
Hf (0.0000, 0.0000, 0.5000) x4
Se (0.1714, 0.2500, 0.6250) x8

Most intense lines, 10 to 90 degrees two-theta, by angle:
- 5.930 Å, intensity 12, (1 0 1)
- 3.807 Å, intensity 100, (1 1 2)
- 3.341 Å, intensity 10, (2 0 0)
- 2.363 Å, intensity 19, (2 2 0)
- 2.316 Å, intensity 43, (2 0 4)
- 2.008 Å, intensity 30, (3 1 2)
- 1.951 Å, intensity 18, (1 1 6)
- 1.904 Å, intensity 6, (2 2 4)
- 1.505 Å, intensity 13, (3 1 6)
- 1.355 Å, intensity 9, (4 2 4)
- 1.329 Å, intensity 7, (2 2 8)
- 1.284 Å, intensity 7, (5 1 2)


The following is a computed powder diffraction line list of CaCe2SmTe5. It was derived from a crystal structure in Alexandria, relaxed with GGA-PBE, using λ = 1.5418 Å (Cu Kα).
Peak positions follow from Bragg's law for the DFT cell and can differ from measured ones.

Structural model:
a = 5.6524 Å, b = 5.6524 Å, c = 11.6472 Å
α = 90.00°, β = 90.00°, γ = 90.00°
Space group P4/mmm (No. 123)
Asymmetric unit:
Ca (0.0000, 0.0000, 0.0000) x1
Ce (0.5000, 0.5000, 0.3000) x2
Sm (0.0000, 0.0000, 0.5000) x1
Te (0.0000, 0.0000, 0.2440) x2
Te (0.0000, 0.5000, 0.5000) x2
Te (0.5000, 0.5000, 0.0000) x1

Most intense lines, 10 to 90 degrees two-theta, by angle:
- 3.997 Å, intensity 73, (1 1 0)
- 3.295 Å, intensity 41, (1 1 2)
- 3.200 Å, intensity 55, (1 0 3)
- 2.912 Å, intensity 37, (0 0 4)
- 2.826 Å, intensity 100, (2 0 0)
- 2.785 Å, intensity 35, (1 1 3)
- 2.118 Å, intensity 35, (2 1 3)
- 2.028 Å, intensity 52, (2 0 4)
- 1.998 Å, intensity 37, (2 2 0)
- 1.648 Å, intensity 27, (2 2 4)
- 1.264 Å, intensity 16, (4 2 0)
- 1.159 Å, intensity 17, (4 2 4)